For RbMnCl4, a DFT-relaxed cell (GGA-PBE, Alexandria) gives the calculated powder XRD pattern in this record (Cu Kα X-rays).

Cell and atoms:
Lattice parameters (Å, degrees): 6.8424 6.8424 8.7629 90.00 90.00 90.00
Sites, in units of the cell vectors:
Rb 0.2500 0.7500 0.2500
Rb 0.7500 0.2500 0.7500
Mn 0.2500 0.7500 0.7500
Mn 0.7500 0.2500 0.2500
Cl 0.0039 0.2500 0.0920
Cl 0.2500 0.0039 0.5920
Cl 0.2500 0.4961 0.5920
Cl 0.4961 0.2500 0.0920
Cl 0.5039 0.7500 0.9080
Cl 0.7500 0.5039 0.4080
Cl 0.7500 0.9961 0.4080
Cl 0.9961 0.7500 0.9080

Peak list (10 most intense, 2θ from 10° to 80°, sorted by position)
| hkl | 2theta | d [Å] | I (rel.) |
| --- | --- | --- | --- |
| 1 1 0 | 18.34 | 4.838 | 100 |
| 1 0 2 | 24.12 | 3.690 | 26 |
| 2 0 0 | 26.05 | 3.421 | 45 |
| 1 1 2 | 27.46 | 3.248 | 80 |
| 2 0 1 | 28.00 | 3.187 | 55 |
| 2 1 1 | 30.95 | 2.889 | 28 |
| 2 0 2 | 33.22 | 2.697 | 47 |
| 3 1 0 | 41.74 | 2.164 | 25 |
| 2 2 2 | 42.69 | 2.118 | 44 |
| 3 1 2 | 46.83 | 1.940 | 34 |